The following is a calculated powder diffraction line list of Ac5OsAu2. It was derived from a structure optimized by DFT (GGA-PBE), using Cu Kα.
Intensities are scaled so that the largest is 100.

Most intense lines, 15° ≤ 2θ ≤ 90°, by intensity:
d = 3.145 Å, I = 100
d = 2.898 Å, I = 68
d = 2.223 Å, I = 51
d = 3.059 Å, I = 47
d = 2.941 Å, I = 45
d = 1.798 Å, I = 31
d = 2.614 Å, I = 30
d = 3.416 Å, I = 26
d = 1.824 Å, I = 25
d = 3.189 Å, I = 23

Cell and atoms:
Unit cell a=9.484 b=12.928 c=4.443 alpha=90.00 beta=90.00 gamma=90.00
Fractional coordinates of all 16 atoms:
Ac: 0.000 0.000 0.000
Ac: 0.145 0.300 0.000
Ac: 0.174 0.579 0.500
Ac: 0.326 0.079 0.500
Ac: 0.355 0.800 0.000
Ac: 0.500 0.500 0.000
Ac: 0.645 0.200 0.000
Ac: 0.674 0.921 0.500
Ac: 0.826 0.421 0.500
Ac: 0.855 0.700 0.000
Os: 0.000 0.500 0.000
Os: 0.500 0.000 0.000
Au: 0.071 0.825 0.500
Au: 0.429 0.325 0.500
Au: 0.571 0.675 0.500
Au: 0.929 0.175 0.500